Record 1
Tm4InNi2Ge4: theoretical XRD peak list (a wavelength of 1.5418 Å), based on a DFT-relaxed cell (GGA-PBE, Alexandria).

Largest 6 diffraction maxima, low angle first, 10° ≤ 2θ ≤ 90°:
33.76°, 2.655 Å, intensity 72; 34.82°, 2.576 Å, intensity 100; 36.41°, 2.468 Å, intensity 38; 36.63°, 2.453 Å, intensity 55; 37.58°, 2.393 Å, intensity 34; 42.98°, 2.104 Å, intensity 52

Cell and atoms:
a = 7.961 Å, b = 7.961 Å, c = 6.973 Å
α = 107.98°, β = 107.98°, γ = 30.65°
Fractional positions:
Tm1 0.092 0.092 0.393
Tm2 0.156 0.156 0.938
Tm3 0.844 0.844 0.062
Tm4 0.908 0.908 0.607
In1 0.500 0.500 0.000
Ni1 0.283 0.283 0.352
Ni2 0.717 0.717 0.648
Ge1 0.297 0.297 0.729
Ge2 0.435 0.435 0.336
Ge3 0.565 0.565 0.664
Ge4 0.703 0.703 0.271

***

Record 2
La4P3Pb4: theoretical XRD peak list (a wavelength of 1.5418 Å), based on a DFT-relaxed cell (GGA-PBE, Alexandria).

Largest 6 diffraction maxima, low angle first, 10° ≤ 2θ ≤ 90°:
28.39°, 3.144 Å, intensity 100; 29.26°, 3.053 Å, intensity 72; 32.61°, 2.746 Å, intensity 57; 41.22°, 2.190 Å, intensity 27; 48.55°, 1.875 Å, intensity 24; 52.45°, 1.744 Å, intensity 21

Cell and atoms:
a = 7.665 Å, b = 7.665 Å, c = 7.665 Å
α = 110.23°, β = 110.23°, γ = 110.23°
Fractional positions:
La1 0.000 0.000 0.000
La2 0.059 0.592 0.592
La3 0.592 0.059 0.592
La4 0.592 0.592 0.059
P1 0.528 0.811 0.811
P2 0.811 0.528 0.811
P3 0.811 0.811 0.528
Pb1 0.127 0.127 0.545
Pb2 0.127 0.545 0.127
Pb3 0.456 0.456 0.456
Pb4 0.545 0.127 0.127

***

Record 3
Tb3Sm4Er2: theoretical XRD peak list (a wavelength of 1.5418 Å), based on a DFT-relaxed cell (GGA-PBE, Alexandria).

Largest 6 diffraction maxima, low angle first, 10° ≤ 2θ ≤ 90°:
31.33°, 2.855 Å, intensity 100; 31.66°, 2.826 Å, intensity 70; 31.78°, 2.815 Å, intensity 34; 45.21°, 2.006 Å, intensity 23; 56.18°, 1.637 Å, intensity 24; 62.18°, 1.493 Å, intensity 25

Cell and atoms:
a = 9.765 Å, b = 9.765 Å, c = 7.035 Å
α = 90.03°, β = 90.03°, γ = 60.25°
Fractional positions:
Tb1 0.000 0.000 0.250
Tb2 0.000 0.000 0.750
Tb3 0.330 0.330 0.250
Tb4 0.330 0.330 0.750
Tb5 0.670 0.670 0.250
Tb6 0.670 0.670 0.750
Sm1 0.019 0.324 0.000
Sm2 0.322 0.653 0.000
Sm3 0.324 0.019 0.500
Sm4 0.347 0.678 0.500
Sm5 0.653 0.322 0.500
Sm6 0.676 0.981 0.500
Sm7 0.678 0.347 0.000
Sm8 0.981 0.676 0.000
Er1 0.021 0.657 0.500
Er2 0.343 0.979 0.000
Er3 0.657 0.021 0.000
Er4 0.979 0.343 0.500

***

Record 4
BaSrAg2Cl8: theoretical XRD peak list (a wavelength of 1.5418 Å), based on a DFT-relaxed cell (GGA-PBE, Alexandria).

Largest 6 diffraction maxima, low angle first, 10° ≤ 2θ ≤ 90°:
21.77°, 4.083 Å, intensity 100; 25.37°, 3.510 Å, intensity 20; 35.78°, 2.510 Å, intensity 22; 35.99°, 2.496 Å, intensity 32; 42.27°, 2.138 Å, intensity 55; 42.63°, 2.121 Å, intensity 22

Cell and atoms:
a = 8.630 Å, b = 8.630 Å, c = 8.630 Å
α = 131.43°, β = 131.43°, γ = 71.13°
Fractional positions:
Ba1 0.000 0.000 0.000
Sr1 0.750 0.250 0.500
Ag1 0.250 0.750 0.500
Ag2 0.500 0.500 0.000
Cl1 0.020 0.651 0.052
Cl2 0.032 0.980 0.631
Cl3 0.142 0.298 0.569
Cl4 0.349 0.401 0.369
Cl5 0.427 0.858 0.156
Cl6 0.599 0.968 0.948
Cl7 0.702 0.271 0.844
Cl8 0.729 0.573 0.431

***

Record 5
Nd4Al2O9: theoretical XRD peak list (a wavelength of 1.5418 Å), based on a DFT-relaxed cell (GGA-PBE, Alexandria).

Largest 6 diffraction maxima, low angle first, 10° ≤ 2θ ≤ 90°:
11.51°, 7.689 Å, intensity 22; 18.32°, 4.843 Å, intensity 30; 28.11°, 3.174 Å, intensity 100; 29.54°, 3.024 Å, intensity 42; 29.70°, 3.008 Å, intensity 57; 33.75°, 2.656 Å, intensity 19

Cell and atoms:
a = 7.794 Å, b = 10.948 Å, c = 11.448 Å
α = 90.00°, β = 109.36°, γ = 90.00°
Fractional positions:
Nd1 0.024 0.101 0.288
Nd2 0.024 0.399 0.788
Nd3 0.167 0.625 0.571
Nd4 0.167 0.875 0.071
Nd5 0.336 0.123 0.913
Nd6 0.336 0.377 0.413
Nd7 0.474 0.586 0.190
Nd8 0.474 0.914 0.690
Nd9 0.526 0.086 0.310
Nd10 0.526 0.414 0.810
Nd11 0.664 0.623 0.587
Nd12 0.664 0.877 0.087
Nd13 0.833 0.125 0.929
Nd14 0.833 0.375 0.429
Nd15 0.976 0.601 0.212
Nd16 0.976 0.899 0.712
Al1 0.152 0.189 0.619
Al2 0.152 0.311 0.119
Al3 0.276 0.691 0.871
Al4 0.276 0.809 0.371
Al5 0.724 0.191 0.629
Al6 0.724 0.309 0.129
Al7 0.848 0.689 0.881
Al8 0.848 0.811 0.381
O1 0.066 0.742 0.883
O2 0.066 0.758 0.383
O3 0.068 0.010 0.897
O4 0.068 0.490 0.397
O5 0.141 0.227 0.468
O6 0.141 0.273 0.968
O7 0.202 0.037 0.674
O8 0.202 0.463 0.174
O9 0.268 0.724 0.236
O10 0.268 0.776 0.736
O11 0.282 0.535 0.834
O12 0.282 0.965 0.334
O13 0.283 0.222 0.247
O14 0.283 0.278 0.747
O15 0.420 0.733 0.019
O16 0.420 0.767 0.519
O17 0.424 0.003 0.106
O18 0.424 0.497 0.606
O19 0.576 0.503 0.394
O20 0.576 0.997 0.894
O21 0.580 0.233 0.481
O22 0.580 0.267 0.981
O23 0.717 0.722 0.253
O24 0.717 0.778 0.753
O25 0.718 0.035 0.666
O26 0.718 0.465 0.166
O27 0.732 0.224 0.264
O28 0.732 0.276 0.764
O29 0.798 0.537 0.826
O30 0.798 0.963 0.326
O31 0.859 0.727 0.032
O32 0.859 0.773 0.532
O33 0.932 0.510 0.603
O34 0.932 0.990 0.103
O35 0.934 0.242 0.617
O36 0.934 0.258 0.117

***

Record 6
Cs6SeI2O: theoretical XRD peak list (a wavelength of 1.5418 Å), based on a DFT-relaxed cell (GGA-PBE, Alexandria).

Largest 6 diffraction maxima, low angle first, 10° ≤ 2θ ≤ 90°:
23.15°, 3.841 Å, intensity 67; 24.73°, 3.601 Å, intensity 100; 27.57°, 3.236 Å, intensity 70; 28.04°, 3.182 Å, intensity 61; 31.19°, 2.868 Å, intensity 31; 39.73°, 2.269 Å, intensity 43

Cell and atoms:
a = 8.734 Å, b = 12.726 Å, c = 9.637 Å
α = 90.00°, β = 90.00°, γ = 90.00°
Fractional positions:
Cs1 0.009 0.250 0.086
Cs2 0.019 0.750 0.480
Cs3 0.250 0.520 0.716
Cs4 0.250 0.980 0.716
Cs5 0.481 0.750 0.480
Cs6 0.491 0.250 0.086
Cs7 0.509 0.750 0.914
Cs8 0.519 0.250 0.520
Cs9 0.750 0.020 0.284
Cs10 0.750 0.480 0.284
Cs11 0.981 0.250 0.520
Cs12 0.991 0.750 0.914
Se1 0.250 0.250 0.793
Se2 0.750 0.750 0.207
I1 0.250 0.031 0.313
I2 0.250 0.469 0.313
I3 0.750 0.531 0.687
I4 0.750 0.969 0.687
O1 0.250 0.750 0.724
O2 0.750 0.250 0.276